(1)
# ThGaGe2Rh2
Calculated powder X-ray diffraction pattern, Cu Kα (λ = 1.5418 Å). Input: DFT lattice parameters and positions (GGA-PBE).
No peak broadening, texture or thermal motion is included.

Principal peaks in the range 2θ from 15° to 90°, by angle:
2theta	d [Å]	Rel. int.	index
19.37	4.583	19.9	1 0 0
25.08	3.551	19.0	1 0 1
27.53	3.240	23.1	1 1 0
31.88	2.807	100.0	1 1 1
37.57	2.394	73.8	1 0 2
39.32	2.291	71.2	2 0 0
51.48	1.775	19.7	2 0 2
55.51	1.655	47.8	2 1 2
56.82	1.620	35.9	2 2 0
66.64	1.403	36.0	0 0 4

Cell and atoms:
```
6
Lattice="4.583 0.000 0.000 0.000 4.583 0.000 0.000 0.000 5.616" Properties=species:S:1:pos:R:3 pbc="T T T"
Th 0.000 0.000 0.000
Ga 0.000 0.000 2.808
Ge 2.291 2.291 1.322
Ge 2.291 2.291 4.294
Rh 0.000 2.291 2.808
Rh 2.291 0.000 2.808
```


(2)
# Zn5AuI12
Calculated powder X-ray diffraction pattern, Cu Kα (λ = 1.5418 Å). Input: DFT lattice parameters and positions (GGA-PBE).
No peak broadening, texture or thermal motion is included.

Principal peaks in the range 2θ from 15° to 90°, by angle:
2theta	d [Å]	Rel. int.	index
24.54	3.628	46.4	1 1 -1
27.63	3.229	63.3	1 -2 2
28.08	3.178	100.0	-1 2 2
29.31	3.048	52.9	1 1 -3
30.57	2.924	81.0	1 1 3
31.18	2.868	42.7	2 -1 3
38.73	2.325	56.5	-2 1 5
39.56	2.278	48.2	2 -1 5
43.24	2.092	46.2	0 3 -1
43.70	2.071	46.3	3 0 1

Cell and atoms:
```
18
Lattice="7.078 0.000 0.000 -3.210 6.310 0.000 -0.346 -0.559 15.163" Properties=species:S:1:pos:R:3 pbc="T T T"
Zn 0.000 0.000 0.000
Zn -1.741 5.018 7.585
Zn -0.125 3.646 15.163
Zn 3.648 2.104 0.000
Zn 5.263 0.732 7.578
Au 1.761 2.875 7.582
I -2.088 4.288 1.620
I 0.266 0.439 9.366
I -0.529 3.039 5.978
I -1.245 5.668 13.543
I 1.339 2.183 1.619
I 0.574 4.842 9.185
I 2.949 0.908 5.978
I 2.184 3.567 13.544
I 4.768 0.083 1.620
I 4.052 2.711 9.185
I 3.257 5.311 5.797
I 5.611 1.463 13.543
```


(3)
# BaLaI5
Calculated powder X-ray diffraction pattern, Cu Kα (λ = 1.5418 Å). Input: DFT lattice parameters and positions (GGA-PBE).
No peak broadening, texture or thermal motion is included.

Principal peaks in the range 2θ from 15° to 90°, by angle:
2theta	d [Å]	Rel. int.	index
24.62	3.615	68.0	1 1 -4
24.86	3.581	67.4	2 2 -2
26.26	3.393	72.4	2 2 -3
26.73	3.335	95.7	1 2 2
29.00	3.079	100.0	1 3 -3
29.23	3.055	67.2	1 1 3
29.60	3.018	44.7	3 0 -2
31.66	2.826	55.5	0 4 1
34.47	2.602	77.8	3 0 0
35.13	2.555	66.4	0 1 5

Cell and atoms:
```
28
Lattice="9.146 0.000 0.000 0.000 11.579 0.000 -7.976 0.000 13.091" Properties=species:S:1:pos:R:3 pbc="T T T"
Ba -0.782 11.578 3.882
Ba -4.770 5.790 10.428
Ba 1.953 0.001 9.209
Ba 5.941 5.788 2.663
La 3.494 1.713 1.740
La -0.494 4.077 8.285
La 1.664 7.502 4.806
La -2.324 9.866 11.352
I -0.521 8.213 2.538
I -4.509 9.155 9.083
I 0.387 2.120 1.463
I -3.600 3.669 8.008
I -4.904 0.288 11.941
I -0.916 5.501 5.396
I 4.093 7.803 0.152
I 0.105 9.565 6.698
I -1.390 0.842 9.614
I 2.598 4.947 3.068
I -1.428 6.632 10.023
I 2.560 10.736 3.477
I 1.065 2.013 6.393
I -2.923 3.776 12.939
I 2.086 6.078 7.696
I 6.074 11.290 1.150
I 4.771 7.910 5.083
I 0.783 9.458 11.629
I 5.679 2.424 4.008
I 1.692 3.365 10.554
```